1.
Structure and simulated XRD peak list of Sc7Ga4Sn (a DFT-relaxed cell (PBE, Alexandria); a wavelength of 1.5418 Å).
Neutral-atom scattering factors, no anomalous dispersion.

Peak list (12 most intense, 10° ≤ 2θ ≤ 90°, most intense first)
Position (°2θ)	I_rel
33.63	1000
39.35	872
49.07	385
31.46	381
34.70	368
33.03	352
35.84	326
36.39	317
34.29	303
23.84	264
46.72	248
49.96	248

Structure:
```
12
Lattice="6.461 -2.665 0.000 6.461 2.665 0.000 -4.058 0.000 7.517" Properties=species:S:1:pos:R:3 pbc="T T T"
Sc 0.000 0.000 0.000
Sc 0.266 0.000 5.293
Sc 3.474 0.000 0.989
Sc 3.098 0.000 4.374
Sc 5.765 0.000 3.143
Sc 5.390 0.000 6.528
Sc 8.598 0.000 2.225
Ga -2.397 0.000 5.077
Ga 1.014 0.000 2.538
Ga 7.849 0.000 4.979
Ga 11.260 0.000 2.440
Sn 6.461 0.000 0.000
```

2.
Structure and simulated XRD peak list of AlGaAu3 (a DFT-relaxed cell (PBE, Alexandria); a wavelength of 1.5418 Å).
Neutral-atom scattering factors, no anomalous dispersion.

Peak list (12 most intense, 10° ≤ 2θ ≤ 90°, most intense first)
Position (°2θ)	I_rel
40.84	1000
30.82	796
39.88	444
43.30	358
39.67	336
61.17	310
23.98	293
34.45	291
60.16	201
47.29	175
22.05	164
77.75	156

Structure:
```
10
Lattice="4.180 0.000 0.000 0.000 5.501 0.000 0.000 0.000 8.062" Properties=species:S:1:pos:R:3 pbc="T T T"
Al 1.045 1.375 0.596
Al 3.135 4.125 7.466
Ga 1.045 4.125 3.012
Ga 3.135 1.375 5.050
Au 1.045 0.001 6.470
Au 1.045 1.375 3.351
Au 1.045 2.749 6.470
Au 3.135 5.500 1.591
Au 3.135 2.751 1.591
Au 3.135 4.125 4.711
```